[1]
Theoretical powder diffraction line list
Compound: Li4MgCdGe2
Radiation: Cu Kα (weighted mean of Kα1 and Kα2)
Structure: the GGA-PBE geometry in OQMD
No peak broadening, texture or thermal motion is included.

Largest 10 diffraction maxima, low angle first, 10° ≤ 2θ ≤ 90°:
2θ/deg, I/Imax
13.89, 15
19.58, 17
24.08, 100
31.23, 14
39.76, 35
39.88, 69
47.02, 32
47.24, 16
63.40, 12
72.25, 23

Atomic structure:
```
8
Lattice="4.535 0.000 0.000 0.000 4.535 0.000 0.000 0.000 6.375" Properties=species:S:1:pos:R:3 pbc="T T T"
Li 0.000 0.000 0.000
Li 0.000 2.267 4.756
Li 2.267 0.000 1.619
Li 2.267 2.267 3.187
Mg 2.267 2.267 0.000
Cd 0.000 0.000 3.187
Ge 0.000 2.267 1.522
Ge 2.267 0.000 4.853
```

[2]
Theoretical powder diffraction line list
Compound: Er4InCo2Si4
Radiation: Cu Kα (weighted mean of Kα1 and Kα2)
Structure: the GGA-PBE geometry in OQMD
No peak broadening, texture or thermal motion is included.

Largest 10 diffraction maxima, low angle first, 10° ≤ 2θ ≤ 90°:
2θ/deg, I/Imax
22.40, 40
28.54, 48
34.02, 35
34.17, 87
35.53, 100
35.78, 41
37.10, 98
38.17, 39
41.40, 38
43.84, 55

Atomic structure:
```
11
Lattice="7.544 -2.065 0.000 7.544 2.065 0.000 -2.106 0.000 6.537" Properties=species:S:1:pos:R:3 pbc="T T T"
Er 0.518 0.000 2.515
Er 0.361 0.000 6.143
Er 12.621 0.000 0.394
Er 12.463 0.000 4.023
In 7.544 0.000 0.000
Co 3.440 0.000 2.445
Co 9.541 0.000 4.092
Si 2.877 0.000 4.734
Si 5.794 0.000 2.273
Si 7.187 0.000 4.264
Si 10.105 0.000 1.803
```

[3]
Theoretical powder diffraction line list
Compound: TbSc2In3PtAu2
Radiation: Cu Kα (weighted mean of Kα1 and Kα2)
Structure: the GGA-PBE geometry in OQMD
No peak broadening, texture or thermal motion is included.

Largest 10 diffraction maxima, low angle first, 10° ≤ 2θ ≤ 90°:
2θ/deg, I/Imax
23.17, 47
27.37, 38
33.46, 68
36.15, 100
40.56, 28
40.74, 46
43.34, 46
43.45, 26
48.75, 25
66.03, 26

Atomic structure:
```
9
Lattice="3.736 0.000 0.000 0.000 6.672 3.831 0.000 -6.672 3.831" Properties=species:S:1:pos:R:3 pbc="T T T"
Tb 0.000 0.000 0.000
Sc 0.000 -2.635 4.562
Sc 0.000 2.635 4.562
In 1.868 -1.785 2.059
In 1.868 1.785 2.059
In 1.868 0.000 5.062
Pt 0.000 0.000 3.075
Au 1.868 -4.400 3.042
Au 1.868 4.400 3.042
```

[4]
Theoretical powder diffraction line list
Compound: Gd2YFeNi8
Radiation: Cu Kα (weighted mean of Kα1 and Kα2)
Structure: the GGA-PBE geometry in OQMD
No peak broadening, texture or thermal motion is included.

Largest 10 diffraction maxima, low angle first, 10° ≤ 2θ ≤ 90°:
2θ/deg, I/Imax
33.12, 46
36.04, 50
36.16, 36
42.03, 39
42.59, 100
46.01, 26
46.16, 23
64.84, 21
69.31, 23
76.44, 23

Atomic structure:
```
12
Lattice="2.492 1.439 8.101 -2.492 1.439 8.101 0.000 -2.878 8.101" Properties=species:S:1:pos:R:3 pbc="T T T"
Gd 0.000 0.000 3.369
Gd 0.000 0.000 20.934
Y 0.000 0.000 0.000
Fe 0.000 0.000 12.152
Ni -1.249 -0.721 10.106
Ni 0.000 0.000 8.099
Ni 0.000 -1.442 14.198
Ni -1.249 0.721 14.198
Ni 1.249 -0.721 10.106
Ni 0.000 1.442 10.106
Ni 0.000 0.000 16.205
Ni 1.249 0.721 14.198
```

[5]
Theoretical powder diffraction line list
Compound: Na4AlZnPd2
Radiation: Cu Kα (weighted mean of Kα1 and Kα2)
Structure: the GGA-PBE geometry in OQMD
No peak broadening, texture or thermal motion is included.

Largest 10 diffraction maxima, low angle first, 10° ≤ 2θ ≤ 90°:
2θ/deg, I/Imax
22.99, 45
26.61, 10
37.99, 100
44.87, 21
54.81, 16
60.21, 9
68.63, 31
73.41, 5
81.22, 9
85.77, 5

Atomic structure:
```
8
Lattice="4.740 0.000 0.000 0.000 4.740 0.000 0.000 0.000 6.692" Properties=species:S:1:pos:R:3 pbc="T T T"
Na 0.000 0.000 0.000
Na 0.000 2.370 1.605
Na 2.370 0.000 5.087
Na 2.370 2.370 3.346
Al 0.000 0.000 3.346
Zn 2.370 2.370 0.000
Pd 0.000 2.370 4.880
Pd 2.370 0.000 1.812
```

[6]
Theoretical powder diffraction line list
Compound: ZrTlAgTeS2
Radiation: Cu Kα (weighted mean of Kα1 and Kα2)
Structure: the GGA-PBE geometry in OQMD
No peak broadening, texture or thermal motion is included.

Largest 10 diffraction maxima, low angle first, 10° ≤ 2θ ≤ 90°:
2θ/deg, I/Imax
22.68, 52
24.67, 48
26.47, 42
29.35, 100
31.46, 60
32.35, 93
33.86, 68
35.22, 49
35.92, 75
46.59, 41

Atomic structure:
```
12
Lattice="8.337 0.000 0.000 0.000 3.899 0.000 -3.433 0.000 9.525" Properties=species:S:1:pos:R:3 pbc="T T T"
Zr 0.994 0.975 1.391
Zr 3.910 2.924 8.134
Tl -0.329 2.924 7.112
Tl 5.233 0.975 2.413
Ag 2.231 2.924 3.725
Ag 2.673 0.975 5.800
Te 0.203 0.975 4.224
Te 4.702 2.924 5.301
S -2.627 0.975 8.337
S 2.722 2.924 1.253
S 2.183 0.975 8.272
S 7.531 2.924 1.188
```